Tl4C5: calculated X-ray diffraction stick pattern (Cu Kα (λ = 1.5418 Å)), based on a crystal structure in Alexandria, relaxed with PBE.
Kinematic intensities with the Lorentz-polarization factor, no thermal factor.

Structure:
```
Tl4C5
1.0
7.189 0.000 0.000
-3.594 6.225 0.000
0.000 0.000 11.272
Tl C
8 10
direct
0.000 0.000 0.000 Tl
0.000 0.000 0.500 Tl
0.000 0.468 0.250 Tl
0.000 0.532 0.750 Tl
0.468 0.000 0.250 Tl
0.468 0.468 0.750 Tl
0.532 0.000 0.750 Tl
0.532 0.532 0.250 Tl
0.000 0.114 0.250 C
0.000 0.886 0.750 C
0.114 0.000 0.250 C
0.114 0.114 0.750 C
0.333 0.667 0.000 C
0.333 0.667 0.500 C
0.667 0.333 0.000 C
0.667 0.333 0.500 C
0.886 0.000 0.750 C
0.886 0.886 0.250 C
```

Most intense lines, 15 to 90 degrees two-theta, by angle:
| 2θ (°) | Rel. int. | hkl |
| --- | --- | --- |
| 15.7 | 40 | 0 0 2 |
| 21.3 | 84 | 1 0 2 |
| 28.7 | 100 | 2 0 0 |
| 29.5 | 53 | 1 1 2 |
| 32.9 | 37 | 2 0 2 |
| 43.3 | 67 | 2 0 4 |